# Sr4NdMn5O15
Calculated XRD peak list, λ = 1.5418 Å (Cu Kα). Input: a GGA+U-relaxed structure.
Lines closer than 0.1° are merged.

Peak list (6 most intense, 2θ from 15° to 90°, sorted by position)
2θ (°)	intensity
32.63	1000
40.25	162
46.72	124
46.87	246
58.26	282
68.34	141

```
Sr4NdMn5O15
1.0
8.247 -2.742 0.000
8.247 2.742 0.000
-1.843 0.000 6.460
Sr Nd Mn O
4 1 5 15
Direct
0.100 0.100 0.399 Sr
0.301 0.301 0.201 Sr
0.699 0.699 0.799 Sr
0.900 0.900 0.601 Sr
0.500 0.500 0.000 Nd
0.101 0.101 0.901 Mn
0.300 0.300 0.699 Mn
0.500 0.500 0.500 Mn
0.700 0.700 0.301 Mn
0.899 0.899 0.099 Mn
0.000 0.000 0.000 O
0.000 0.500 0.500 O
0.113 0.600 0.901 O
0.202 0.202 0.810 O
0.207 0.697 0.292 O
0.303 0.793 0.708 O
0.400 0.887 0.099 O
0.402 0.402 0.604 O
0.500 0.000 0.500 O
0.598 0.598 0.396 O
0.600 0.113 0.901 O
0.697 0.207 0.292 O
0.793 0.303 0.708 O
0.798 0.798 0.190 O
0.887 0.400 0.099 O
```